(1)
Starting from a structure optimized by DFT (GGA-PBE), the powder X-ray diffraction pattern of Ce5Ge5O was computed for λ = 1.5418 Å (Cu Kα).
Intensities are scaled so that the largest is 100.

Structural model:
Cell lengths 8.5270, 8.5270, 8.5270 Å; angles 149.99, 122.19, 66.50 degrees
Atoms (fractional coordinates):
Ce: 0.0000 0.0000 0.0000
Ce: 0.0935 0.3599 0.7336
Ce: 0.3737 0.6401 0.7336
Ce: 0.6263 0.3599 0.2664
Ce: 0.9065 0.6401 0.2664
Ge: 0.2086 0.2086 0.0000
Ge: 0.3432 0.8432 0.5000
Ge: 0.5000 0.5000 0.0000
Ge: 0.6568 0.1568 0.5000
Ge: 0.7914 0.7914 0.0000
O: 0.0000 0.5000 0.5000

Main lines, low angle first (2θ from 15° to 90°):
2θ 30.3, d = 2.948 Å, rel. 85
2θ 33.2, d = 2.696 Å, rel. 67
2θ 34.1, d = 2.629 Å, rel. 44
2θ 35.3, d = 2.545 Å, rel. 100
2θ 37.8, d = 2.377 Å, rel. 26
2θ 40.9, d = 2.208 Å, rel. 42
2θ 43.9, d = 2.061 Å, rel. 31
2θ 53.7, d = 1.708 Å, rel. 34
2θ 54.4, d = 1.688 Å, rel. 20
2θ 61.6, d = 1.506 Å, rel. 23

(2)
Starting from a structure optimized by DFT (GGA-PBE), the powder X-ray diffraction pattern of MgGa3Co2 was computed for λ = 1.5418 Å (Cu Kα).
Intensities are scaled so that the largest is 100.

Structural model:
Cell lengths 5.1875, 5.1875, 3.8630 Å; angles 90.00, 90.00, 120.00 degrees
Atoms (fractional coordinates):
Mg: 0.0000 0.0000 0.0000
Ga: 0.0000 0.4654 0.5000
Ga: 0.4654 0.0000 0.5000
Ga: 0.5346 0.5346 0.5000
Co: 0.3333 0.6667 0.0000
Co: 0.6667 0.3333 0.0000

Main lines, low angle first (2θ from 15° to 90°):
2θ 19.8, d = 4.492 Å, rel. 73
2θ 34.6, d = 2.594 Å, rel. 15
2θ 40.1, d = 2.246 Å, rel. 30
2θ 42.0, d = 2.153 Å, rel. 100
2θ 46.8, d = 1.942 Å, rel. 78
2θ 47.0, d = 1.931 Å, rel. 29
2θ 63.5, d = 1.465 Å, rel. 15
2θ 67.0, d = 1.396 Å, rel. 15
2θ 72.9, d = 1.297 Å, rel. 18
2θ 87.3, d = 1.117 Å, rel. 12

(3)
Starting from a structure optimized by DFT (GGA-PBE), the powder X-ray diffraction pattern of Pm4Sm4Mg was computed for λ = 1.5418 Å (Cu Kα).
Intensities are scaled so that the largest is 100.

Structural model:
Cell lengths 6.8097, 9.2959, 10.9616 Å; angles 67.05, 74.59, 71.57 degrees
Atoms (fractional coordinates):
Pm: 0.0592 0.1869 0.0947
Pm: 0.0640 0.1900 0.4285
Pm: 0.2665 0.4680 0.7983
Pm: 0.3819 0.8580 0.6466
Pm: 0.6181 0.1420 0.3534
Pm: 0.7335 0.5320 0.2017
Pm: 0.9360 0.8100 0.5715
Pm: 0.9408 0.8131 0.9053
Sm: 0.2803 0.4735 0.4603
Sm: 0.2849 0.4711 0.1340
Sm: 0.3824 0.8636 0.9860
Sm: 0.3940 0.8611 0.3122
Sm: 0.6060 0.1389 0.6878
Sm: 0.6176 0.1364 0.0140
Sm: 0.7151 0.5289 0.8660
Sm: 0.7197 0.5265 0.5397
Mg: 0.0528 0.1948 0.7583
Mg: 0.9472 0.8052 0.2417

Main lines, low angle first (2θ from 15° to 90°):
2θ 28.2, d = 3.162 Å, rel. 25
2θ 31.0, d = 2.884 Å, rel. 37
2θ 32.2, d = 2.776 Å, rel. 50
2θ 32.3, d = 2.768 Å, rel. 100
2θ 42.4, d = 2.133 Å, rel. 12
2θ 42.5, d = 2.127 Å, rel. 12
2θ 50.1, d = 1.822 Å, rel. 19
2θ 56.0, d = 1.643 Å, rel. 15
2θ 60.1, d = 1.540 Å, rel. 17
2θ 60.8, d = 1.524 Å, rel. 12